Calculated powder X-ray diffraction pattern of MnGeCN for Cu Ka, from the PBE geometry in Alexandria.

Cell: 3.172 3.172 5.322 Å, 90.00 90.00 120.00°
Sites, in units of the cell vectors:
Mn 0.000 0.000 0.000
Ge 0.333 0.667 0.496
C 0.000 0.000 0.381
N 0.333 0.667 0.872

Largest 10 diffraction maxima, sorted by position, 10 to 80 degrees two-theta:
2.747 Å, 32.6°, intensity 45
2.661 Å, 33.7°, intensity 38
2.441 Å, 36.8°, intensity 100
1.911 Å, 47.6°, intensity 22
1.586 Å, 58.2°, intensity 28
1.490 Å, 62.3°, intensity 31
1.373 Å, 68.3°, intensity 5
1.362 Å, 68.9°, intensity 26
1.330 Å, 70.9°, intensity 17
1.220 Å, 78.3°, intensity 5